No. 1
Starting from a DFT-relaxed cell (GGA-PBE, Alexandria), the powder XRD pattern of AcPt2Au5 was simulated for Cu Kα X-rays.
Intensities are scaled so that the largest is 100.

Largest 10 diffraction maxima, most intense first, 15° ≤ 2θ ≤ 90°:
2theta  d/Å  I_rel
34.72  2.584  100
43.15  2.097  61
31.89  2.806  54
39.42  2.286  47
42.90  2.108  36
62.47  1.487  24
43.66  2.073  21
79.49  1.206  21
74.93  1.267  19
34.12  2.627  16

Structure:
```
data_AcPt2Au5
_chemical_formula_sum 'Ac2 Pt4 Au10'
_space_group_name_H-M_alt 'I m m m'
_space_group_IT_number 71
_space_group_name_Hall '-I 2 2'
_cell_length_a 4.1931
_cell_length_b 8.1791
_cell_length_c 9.8415
_cell_angle_alpha 90.00
_cell_angle_beta 90.00
_cell_angle_gamma 90.00
loop_
_atom_site_label
_atom_site_type_symbol
_atom_site_fract_x
_atom_site_fract_y
_atom_site_fract_z
Ac1 Ac 0.0000 0.0000 0.0000
Pt1 Pt 0.0000 0.5000 0.2805
Au1 Au 0.0000 0.1801 0.3498
Au2 Au 0.0000 0.5000 0.0000
```

No. 2
Starting from a DFT-relaxed cell (GGA-PBE, Alexandria), the powder XRD pattern of Ac7Pt4Au was simulated for Cu Kα X-rays.
Intensities are scaled so that the largest is 100.

Largest 10 diffraction maxima, most intense first, 15° ≤ 2θ ≤ 90°:
2theta  d/Å  I_rel
29.29  3.049  100
26.54  3.358  97
27.82  3.207  89
29.96  2.982  83
27.52  3.241  72
42.14  2.144  66
39.96  2.256  60
28.06  3.180  43
36.51  2.461  42
34.13  2.627  37

Structure:
```
data_Ac7Pt4Au
_chemical_formula_sum 'Ac14 Pt8 Au2'
_space_group_name_H-M_alt 'C 1 m 1'
_space_group_IT_number 8
_space_group_name_Hall 'C -2y'
_cell_length_a 14.6247
_cell_length_b 4.2887
_cell_length_c 13.2962
_cell_angle_alpha 90.00
_cell_angle_beta 103.46
_cell_angle_gamma 90.00
loop_
_atom_site_label
_atom_site_type_symbol
_atom_site_fract_x
_atom_site_fract_y
_atom_site_fract_z
Ac1 Ac 0.0000 0.0000 0.0000
Ac2 Ac 0.0102 0.5000 0.2933
Ac3 Ac 0.1106 0.5000 0.5969
Ac4 Ac 0.2218 0.0000 0.8622
Ac5 Ac 0.2657 0.5000 0.1415
Ac6 Ac 0.3042 0.0000 0.4366
Ac7 Ac 0.4186 0.5000 0.6980
Pt1 Pt 0.0653 0.5000 0.8235
Pt2 Pt 0.2645 0.0000 0.6493
Pt3 Pt 0.3806 0.0000 0.0701
Pt4 Pt 0.4607 0.5000 0.4701
Au1 Au 0.1430 0.0000 0.2258
```

No. 3
Starting from a DFT-relaxed cell (GGA-PBE, Alexandria), the powder XRD pattern of AcPtAu was simulated for Cu Kα X-rays.
Intensities are scaled so that the largest is 100.

Largest 10 diffraction maxima, most intense first, 15° ≤ 2θ ≤ 90°:
2theta  d/Å  I_rel
31.77  2.816  100
36.99  2.430  61
30.67  2.915  40
60.38  1.533  30
39.74  2.268  28
51.02  1.790  20
45.94  1.976  19
48.02  1.894  16
62.33  1.490  15
64.04  1.454  14

Structure:
```
data_AcPtAu
_chemical_formula_sum 'Ac2 Pt2 Au2'
_space_group_name_H-M_alt 'P m m a'
_space_group_IT_number 51
_space_group_name_Hall '-P 2a 2a'
_cell_length_a 4.5361
_cell_length_b 3.9513
_cell_length_c 8.6351
_cell_angle_alpha 90.00
_cell_angle_beta 90.00
_cell_angle_gamma 90.00
loop_
_atom_site_label
_atom_site_type_symbol
_atom_site_fract_x
_atom_site_fract_y
_atom_site_fract_z
Ac1 Ac 0.2500 0.0000 0.2233
Pt1 Pt 0.2500 0.5000 0.9094
Au1 Au 0.2500 0.5000 0.5918
```

No. 4
Starting from a DFT-relaxed cell (GGA-PBE, Alexandria), the powder XRD pattern of AcPt2Au3 was simulated for Cu Kα X-rays.
Intensities are scaled so that the largest is 100.

Largest 10 diffraction maxima, most intense first, 15° ≤ 2θ ≤ 90°:
2theta  d/Å  I_rel
36.86  2.439  100
39.00  2.310  61
37.53  2.396  37
71.57  1.318  34
58.46  1.579  33
33.02  2.713  29
47.35  1.920  23
65.85  1.418  22
33.82  2.651  17
71.14  1.325  15

Structure:
```
data_AcPt2Au3
_chemical_formula_sum 'Ac6 Pt12 Au18'
_space_group_name_H-M_alt 'R -3 m'
_space_group_IT_number 166
_space_group_name_Hall '-R 3 2"'
_cell_length_a 6.3150
_cell_length_b 6.3150
_cell_length_c 21.5678
_cell_angle_alpha 90.00
_cell_angle_beta 90.00
_cell_angle_gamma 120.00
loop_
_atom_site_label
_atom_site_type_symbol
_atom_site_fract_x
_atom_site_fract_y
_atom_site_fract_z
Ac1 Ac 0.0000 0.0000 0.2243
Pt1 Pt 0.0000 0.0000 0.0000
Pt2 Pt 0.0000 0.5000 0.0000
Au1 Au 0.0170 0.5085 0.2290
```

No. 5
Starting from a DFT-relaxed cell (GGA-PBE, Alexandria), the powder XRD pattern of Ac6PtAu3 was simulated for Cu Kα X-rays.
Intensities are scaled so that the largest is 100.

Largest 10 diffraction maxima, most intense first, 15° ≤ 2θ ≤ 90°:
2theta  d/Å  I_rel
32.01  2.796  100
33.12  2.705  55
42.64  2.120  45
28.57  3.124  45
31.00  2.885  44
30.15  2.964  30
31.85  2.809  30
27.97  3.190  27
44.18  2.050  24
28.86  3.094  24

Structure:
```
data_Ac6PtAu3
_chemical_formula_sum 'Ac12 Pt2 Au6'
_space_group_name_H-M_alt 'P 1 21/m 1'
_space_group_IT_number 11
_space_group_name_Hall '-P 2yb'
_cell_length_a 11.9725
_cell_length_b 4.2407
_cell_length_c 14.5394
_cell_angle_alpha 90.00
_cell_angle_beta 111.04
_cell_angle_gamma 90.00
loop_
_atom_site_label
_atom_site_type_symbol
_atom_site_fract_x
_atom_site_fract_y
_atom_site_fract_z
Ac1 Ac 0.0215 0.2500 0.3791
Ac2 Ac 0.0719 0.2500 0.8954
Ac3 Ac 0.2569 0.7500 0.3175
Ac4 Ac 0.3235 0.7500 0.7880
Ac5 Ac 0.3564 0.7500 0.1048
Ac6 Ac 0.4008 0.2500 0.5780
Pt1 Pt 0.4435 0.2500 0.2763
Au1 Au 0.1442 0.2500 0.1370
Au2 Au 0.1855 0.7500 0.5343
Au3 Au 0.3964 0.2500 0.9563
```

No. 6
Starting from a DFT-relaxed cell (GGA-PBE, Alexandria), the powder XRD pattern of Ac5Pt2RhAu was simulated for Cu Kα X-rays.
Intensities are scaled so that the largest is 100.

Largest 10 diffraction maxima, most intense first, 15° ≤ 2θ ≤ 90°:
2theta  d/Å  I_rel
40.27  2.239  100
27.36  3.260  95
31.82  2.812  85
30.31  2.949  48
34.12  2.628  47
34.84  2.575  39
23.74  3.748  39
36.79  2.443  39
30.80  2.903  37
24.77  3.595  33

Structure:
```
data_Ac5Pt2RhAu
_chemical_formula_sum 'Ac20 Pt8 Rh4 Au4'
_space_group_name_H-M_alt 'C m c 21'
_space_group_IT_number 36
_space_group_name_Hall 'C 2c -2'
_cell_length_a 4.4824
_cell_length_b 18.0573
_cell_length_c 14.7656
_cell_angle_alpha 90.00
_cell_angle_beta 90.00
_cell_angle_gamma 90.00
loop_
_atom_site_label
_atom_site_type_symbol
_atom_site_fract_x
_atom_site_fract_y
_atom_site_fract_z
Ac1 Ac 0.0000 0.0562 0.0000
Ac2 Ac 0.0000 0.0712 0.7269
Ac3 Ac 0.0000 0.2767 0.3886
Ac4 Ac 0.0000 0.3153 0.6717
Ac5 Ac 0.0000 0.3774 0.9956
Pt1 Pt 0.0000 0.3091 0.1897
Pt2 Pt 0.0000 0.4884 0.6218
Rh1 Rh 0.0000 0.2157 0.0270
Au1 Au 0.0000 0.0935 0.3464
```